Structure and simulated X-ray powder pattern of K2RbNa2ReO6 (a structure optimized by DFT (PBE); Cu Kα, 1.54184 Å).
Kinematic intensities with the Lorentz-polarization factor, no thermal factor.

Atomic structure:
Cell: 6.281 6.281 5.778 Å, 97.63 97.63 119.37°
Fractional positions:
K1 0.169 0.831 0.000
K2 0.831 0.169 0.000
Rb1 0.000 0.000 0.500
Na1 0.365 0.635 0.500
Na2 0.635 0.365 0.500
Re1 0.500 0.500 0.000
O1 0.204 0.455 0.801
O2 0.304 0.304 0.202
O3 0.455 0.204 0.801
O4 0.545 0.796 0.199
O5 0.696 0.696 0.798
O6 0.796 0.545 0.199

Most intense lines, 2θ from 10° to 90°, in order of rising 2θ:
2theta	intensity
15.90	44.6
16.35	99.3
16.64	45.1
20.24	87.9
25.64	41.2
29.20	43.5
30.98	65.7
34.85	100.0
37.50	43.1
50.22	30.2